[1]
The following is a simulated powder diffraction line list of CoBi12O20. It was derived from a crystal structure in the Materials Project, relaxed with PBE+U, using λ = 1.5418 Å (Cu Kα).

Structural model:
Cell lengths 10.278, 10.278, 10.278 Å; angles 90.00, 90.00, 90.00 degrees
Space group I23 (No. 197)
Symmetry-distinct sites (fractional):
Co1 0.000 0.000 0.000 [2 per cell]
Bi1 0.014 0.178 0.683 [24 per cell]
O1 0.012 0.370 0.246 [24 per cell]
O2 0.102 0.102 0.102 [8 per cell]
O3 0.196 0.196 0.804 [8 per cell]

Principal peaks in the range 2θ = 10–80°, in order of falling intensity:
two_theta, I/Imax, h k l
27.44, 100, 3 1 0
32.60, 69, 3 2 1
51.87, 41, 5 0 3
55.08, 31, 5 3 2
30.12, 25, 2 2 2
24.50, 23, 2 2 0
61.16, 21, 6 3 1
53.49, 18, 6 0 0
77.74, 16, 6 3 5
41.20, 15, 3 3 2
44.97, 15, 4 1 3
79.05, 15, 6 6 0



[2]
The following is a simulated powder diffraction line list of Ba5V5O14. It was derived from a crystal structure in the Materials Project, relaxed with PBE+U, using λ = 1.5418 Å (Cu Kα).

Structural model:
Cell lengths 5.785, 5.799, 23.815 Å; angles 89.05, 89.50, 60.57 degrees
Space group P1 (No. 1)
Symmetry-distinct sites (fractional):
Ba1 0.000 0.000 0.000 [1 per cell]
Ba2 0.001 0.004 0.817 [1 per cell]
Ba3 0.005 0.998 0.501 [1 per cell]
Ba4 0.008 0.996 0.317 [1 per cell]
Ba5 0.332 0.338 0.722 [1 per cell]
Ba6 0.338 0.329 0.904 [1 per cell]
Ba7 0.340 0.336 0.405 [1 per cell]
Ba8 0.344 0.330 0.222 [1 per cell]
Ba9 0.669 0.664 0.609 [1 per cell]
Ba10 0.672 0.657 0.110 [1 per cell]
V1 0.042 0.980 0.164 [1 per cell]
V2 0.304 0.351 0.056 [1 per cell]
V3 0.356 0.293 0.556 [1 per cell]
V4 0.662 0.667 0.970 [1 per cell]
V5 0.662 0.686 0.749 [1 per cell]
V6 0.670 0.669 0.859 [1 per cell]
V7 0.671 0.668 0.359 [1 per cell]
V8 0.672 0.663 0.469 [1 per cell]
V9 0.687 0.647 0.250 [1 per cell]
V10 0.980 0.045 0.664 [1 per cell]
O1 0.013 0.499 0.517 [1 per cell]
O2 0.122 0.145 0.106 [1 per cell]
O3 0.176 0.143 0.609 [1 per cell]
O4 0.202 0.618 0.114 [1 per cell]
O5 0.330 0.819 0.702 [1 per cell]
O6 0.343 0.829 0.208 [1 per cell]
O7 0.370 0.811 0.917 [1 per cell]
O8 0.372 0.814 0.413 [1 per cell]
O9 0.497 0.498 0.515 [1 per cell]
O10 0.503 0.999 0.017 [1 per cell]
O11 0.505 0.537 0.810 [1 per cell]
O12 0.510 0.482 0.016 [1 per cell]
O13 0.515 0.985 0.807 [1 per cell]
O14 0.522 0.972 0.510 [1 per cell]
O15 0.526 0.956 0.308 [1 per cell]
O16 0.534 0.496 0.310 [1 per cell]
O17 0.688 0.146 0.609 [1 per cell]
O18 0.812 0.820 0.910 [1 per cell]
O19 0.816 0.367 0.912 [1 per cell]
O20 0.822 0.370 0.416 [1 per cell]
O21 0.822 0.866 0.196 [1 per cell]
O22 0.830 0.808 0.411 [1 per cell]
O23 0.837 0.321 0.708 [1 per cell]
O24 0.849 0.320 0.204 [1 per cell]
O25 0.858 0.813 0.699 [1 per cell]
O26 0.965 0.523 0.805 [1 per cell]
O27 0.981 0.510 0.009 [1 per cell]
O28 0.982 0.513 0.305 [1 per cell]

Principal peaks in the range 2θ = 10–80°, in order of falling intensity:
two_theta, I/Imax, h k l
30.61, 100, 1 -1 0
30.84, 96, 1 2 0
30.92, 95, 2 1 0
28.64, 86, 1 0 -6
28.51, 80, 1 1 6
28.81, 73, 0 1 -6
42.49, 55, 2 0 6
42.15, 47, 0 2 6
38.84, 43, 2 0 -4
43.03, 41, 2 2 -6
37.78, 26, 0 0 10
53.42, 25, 3 2 6



[3]
The following is a simulated powder diffraction line list of Li9Mn2Co5O16. It was derived from a crystal structure in the Materials Project, relaxed with PBE+U, using λ = 1.5418 Å (Cu Kα).

Structural model:
Cell lengths 15.319, 2.889, 13.069 Å; angles 90.00, 92.48, 90.00 degrees
Space group Cm (No. 8)
Symmetry-distinct sites (fractional):
Li1 0.000 0.000 0.000 [2 per cell]
Li2 0.001 0.500 0.512 [2 per cell]
Li3 0.119 0.000 0.380 [2 per cell]
Li4 0.125 0.500 0.877 [2 per cell]
Li5 0.247 0.000 0.770 [2 per cell]
Li6 0.253 0.500 0.247 [2 per cell]
Li7 0.312 0.500 0.940 [2 per cell]
Li8 0.371 0.000 0.108 [2 per cell]
Li9 0.374 0.500 0.637 [2 per cell]
Mn1 0.064 0.500 0.190 [2 per cell]
Mn2 0.311 0.000 0.442 [2 per cell]
Co1 0.058 0.000 0.693 [2 per cell]
Co2 0.184 0.500 0.570 [2 per cell]
Co3 0.196 0.000 0.052 [2 per cell]
Co4 0.431 0.000 0.830 [2 per cell]
Co5 0.436 0.500 0.314 [2 per cell]
O1 0.022 0.000 0.840 [2 per cell]
O2 0.030 0.500 0.335 [2 per cell]
O3 0.095 0.000 0.537 [2 per cell]
O4 0.098 0.500 0.052 [2 per cell]
O5 0.146 0.000 0.221 [2 per cell]
O6 0.151 0.500 0.718 [2 per cell]
O7 0.212 0.000 0.918 [2 per cell]
O8 0.228 0.500 0.415 [2 per cell]
O9 0.276 0.500 0.098 [2 per cell]
O10 0.278 0.000 0.584 [2 per cell]
O11 0.342 0.000 0.299 [2 per cell]
O12 0.351 0.500 0.788 [2 per cell]
O13 0.395 0.500 0.467 [2 per cell]
O14 0.409 0.000 0.965 [2 per cell]
O15 0.472 0.000 0.662 [2 per cell]
O16 0.479 0.500 0.164 [2 per cell]

Principal peaks in the range 2θ = 10–80°, in order of falling intensity:
two_theta, I/Imax, h k l
18.24, 100, 2 0 2
43.85, 54, 5 1 1
42.70, 27, 2 0 -6
36.25, 26, 3 1 -1
62.65, 14, 3 1 7
63.09, 13, 7 1 -5
47.51, 13, 8 0 0
35.36, 13, 4 0 -4
57.63, 9, 7 1 3
64.51, 7, 0 2 0
62.98, 7, 10 0 2
37.69, 7, 1 1 -3



[4]
The following is a simulated powder diffraction line list of SrVF5. It was derived from a crystal structure in the Materials Project, relaxed with PBE+U, using λ = 1.5418 Å (Cu Kα).

Structural model:
Cell lengths 7.196, 7.403, 14.981 Å; angles 90.00, 95.01, 90.00 degrees
Space group P2_1/c (No. 14)
Symmetry-distinct sites (fractional):
Sr1 0.002 0.161 0.137 [4 per cell]
Sr2 0.310 0.158 0.415 [4 per cell]
V1 0.190 0.685 0.126 [4 per cell]
V2 0.494 0.618 0.337 [4 per cell]
F1 0.004 0.508 0.892 [4 per cell]
F2 0.032 0.689 0.707 [4 per cell]
F3 0.045 0.677 0.534 [4 per cell]
F4 0.299 0.501 0.402 [4 per cell]
F5 0.310 0.553 0.229 [4 per cell]
F6 0.313 0.161 0.243 [4 per cell]
F7 0.313 0.194 0.067 [4 per cell]
F8 0.349 0.578 0.042 [4 per cell]
F9 0.354 0.664 0.851 [4 per cell]
F10 0.400 0.634 0.647 [4 per cell]

Principal peaks in the range 2θ = 10–80°, in order of falling intensity:
two_theta, I/Imax, h k l
24.78, 100, 0 2 1
23.85, 93, 0 0 4
29.28, 83, 2 1 -2
45.33, 60, 2 3 1
44.20, 47, 2 1 -6
21.55, 44, 1 1 2
30.10, 43, 0 2 3
37.65, 40, 3 0 0
47.48, 37, 2 3 -3
48.10, 37, 2 2 5
41.29, 37, 1 1 6
38.90, 32, 1 3 -1